Record 1
This entry pairs a crystal structure of La6PmRh4 with its calculated powder XRD pattern. Radiation: CuKα. Structure: a cell relaxed with PBE.
Neutral-atom scattering factors, no anomalous dispersion.

Structural model:
```
La6PmRh4
1.0
6.160 0.000 0.000
-0.420 6.167 0.000
-2.937 -2.160 8.131
La Pm Rh
6 1 4
Direct
0.000 0.000 0.000
0.053 0.086 0.608
0.332 0.527 0.985
0.436 0.956 0.361
0.611 0.556 0.643
0.937 0.482 0.320
0.486 0.031 0.967
0.138 0.641 0.689
0.413 0.400 0.271
0.621 0.082 0.696
0.860 0.952 0.264
```

Principal peaks in the range 2θ = 15–90°, in order of falling intensity:
Position (°2θ)  intensity
29.98  100.0
33.05  99.8
29.08  89.1
31.11  88.1
36.67  66.9
40.13  51.2

=====

Record 2
This entry pairs a crystal structure of La2Pm2Rh3 with its calculated powder XRD pattern. Radiation: CuKα. Structure: a cell relaxed with PBE.
Neutral-atom scattering factors, no anomalous dispersion.

Structural model:
```
La2Pm2Rh3
1.0
4.173 0.000 0.000
-2.078 6.803 0.000
-0.005 -1.368 6.986
La Pm Rh
2 2 3
Direct
0.122 0.246 0.381
0.878 0.754 0.619
0.361 0.723 0.138
0.639 0.277 0.862
0.260 0.520 0.753
0.500 0.000 0.500
0.740 0.480 0.247
```

Principal peaks in the range 2θ = 15–90°, in order of falling intensity:
Position (°2θ)  intensity
30.45  100.0
43.88  52.4
31.09  49.2
44.25  36.4
54.34  28.6
43.36  19.7

=====

Record 3
This entry pairs a crystal structure of La3PmRh with its calculated powder XRD pattern. Radiation: CuKα. Structure: a cell relaxed with PBE.
Neutral-atom scattering factors, no anomalous dispersion.

Structural model:
```
La3PmRh
1.0
6.211 -1.952 0.000
6.211 1.952 0.000
-5.690 0.000 13.110
La Pm Rh
6 2 2
Direct
0.000 0.000 0.000
0.002 0.002 0.364
0.331 0.331 0.467
0.444 0.444 0.749
0.656 0.656 0.235
0.658 0.658 0.600
0.216 0.216 0.851
0.324 0.324 0.124
0.001 0.001 0.631
0.659 0.659 0.971
```

Principal peaks in the range 2θ = 15–90°, in order of falling intensity:
Position (°2θ)  intensity
29.58  100.0
30.33  85.2
32.90  79.9
31.37  41.0
46.52  41.0
33.44  32.0

=====

Record 4
This entry pairs a crystal structure of La2Pm3Rh3 with its calculated powder XRD pattern. Radiation: CuKα. Structure: a cell relaxed with PBE.
Neutral-atom scattering factors, no anomalous dispersion.

Structural model:
```
La2Pm3Rh3
1.0
5.803 0.000 0.000
1.795 5.621 0.000
0.077 0.385 14.040
La Pm Rh
4 6 6
Direct
0.000 0.000 0.000
0.005 0.013 0.644
0.432 0.178 0.448
0.808 0.541 0.153
0.059 0.843 0.323
0.380 0.413 0.957
0.381 0.415 0.693
0.430 0.128 0.185
0.750 0.719 0.822
0.806 0.576 0.509
0.223 0.801 0.823
0.276 0.659 0.509
0.277 0.641 0.143
0.532 0.918 0.640
0.534 0.895 0.005
0.583 0.768 0.329
```

Principal peaks in the range 2θ = 15–90°, in order of falling intensity:
Position (°2θ)  intensity
31.44  100.0
37.77  49.8
36.84  44.8
38.47  41.0
15.77  39.5
31.89  39.1